(1)
Diffraction record for PrZnSi2Pt5. The XRD peak list is simulated, not measured: it uses a DFT-relaxed cell (GGA-PBE, Alexandria) and Cu Kα (λ = 1.5418 Å).
Peak positions follow from Bragg's law for the DFT cell and can differ from measured ones.

The 12 most intense peaks (15° ≤ 2θ ≤ 90°), most intense first:
2θ (°), d [Å], I/Imax
32.07, 2.791, 100
25.83, 3.449, 90
47.09, 1.930, 69
35.50, 2.529, 69
44.19, 2.049, 66
51.90, 1.762, 55
40.66, 2.219, 30
83.40, 1.159, 27
71.50, 1.320, 25
70.48, 1.336, 22
64.28, 1.449, 22
73.66, 1.286, 19

Crystal structure
```
PrZnSi2Pt5
1.0
4.0989 0.0000 0.0000
0.0000 4.0989 0.0000
0.0000 0.0000 10.3479
Pr Zn Si Pt
1 1 2 5
Cartesian
0.0000 0.0000 0.0000
0.0000 0.0000 5.1739
2.0494 2.0494 2.3520
2.0494 2.0494 7.9959
0.0000 2.0494 3.5419
0.0000 2.0494 6.8059
2.0494 0.0000 3.5419
2.0494 0.0000 6.8059
2.0494 2.0494 0.0000
```

---

(2)
Diffraction record for PrSm2Pt3. The XRD peak list is simulated, not measured: it uses a DFT-relaxed cell (GGA-PBE, Alexandria) and Cu Kα (λ = 1.5418 Å).
Peak positions follow from Bragg's law for the DFT cell and can differ from measured ones.

The 12 most intense peaks (15° ≤ 2θ ≤ 90°), most intense first:
2θ (°), d [Å], I/Imax
35.87, 2.503, 100
32.83, 2.728, 61
41.81, 2.160, 33
36.28, 2.476, 29
16.25, 5.453, 24
15.72, 5.636, 20
67.70, 1.384, 17
40.91, 2.206, 16
53.42, 1.715, 13
60.63, 1.527, 12
25.98, 3.430, 11
31.50, 2.840, 10

Crystal structure
```
PrSm2Pt3
1.0
-3.6621 5.4534 4.4123
3.6621 -5.4534 4.4123
3.6621 5.4534 -4.4123
Pr Sm Pt
2 4 6
Cartesian
0.0000 2.7267 0.2246
3.6621 2.7267 4.1878
3.6621 -0.5202 1.7319
3.6621 4.9331 -1.7319
0.0000 0.5202 6.1442
0.0000 5.9736 2.6804
1.8310 2.7267 -2.2062
1.3908 0.0000 0.0000
1.8310 -2.7267 2.2062
5.9333 0.0000 0.0000
1.3908 5.4534 0.0000
2.2713 0.0000 4.4123
```